No. 1
Simulated powder XRD pattern
Compound: Pr2Co7B3
Radiation: Cu Kα (λ = 1.5418 Å)
Structure: a structure optimized by DFT (GGA-PBE)
Kinematic intensities with the Lorentz-polarization factor, no thermal factor.

Most intense lines, 2θ = 5–70°, by intensity:
d (Å)  I_rel  (hkl)
2.229  1000  2 0 0
2.585  949  1 0 4
1.999  824  1 1 4
1.488  385  2 1 4
2.574  243  1 1 0
1.346  216  3 0 4
4.458  199  1 0 0
2.206  92  1 0 5
2.198  89  1 1 3
1.350  88  1 1 8
1.586  75  0 0 8
1.403  54  2 1 5

Cell and atoms:
abc: 5.148 5.148 12.689
angles: 90.00 90.00 120.00
Positions (direct):
Pr1 0.000 0.000 0.000
Pr2 0.000 0.000 0.240
Pr3 0.000 0.000 0.500
Pr4 0.000 0.000 0.760
Co1 0.000 0.500 0.115
Co2 0.000 0.500 0.344
Co3 0.000 0.500 0.656
Co4 0.000 0.500 0.885
Co5 0.333 0.667 0.500
Co6 0.500 0.000 0.115
Co7 0.500 0.000 0.344
Co8 0.500 0.000 0.656
Co9 0.500 0.000 0.885
Co10 0.500 0.500 0.115
Co11 0.500 0.500 0.344
Co12 0.500 0.500 0.656
Co13 0.500 0.500 0.885
Co14 0.667 0.333 0.500
B1 0.333 0.667 0.000
B2 0.333 0.667 0.231
B3 0.333 0.667 0.769
B4 0.667 0.333 0.000
B5 0.667 0.333 0.231
B6 0.667 0.333 0.769

***

No. 2
Simulated powder XRD pattern
Compound: Pr2Co5B2
Radiation: Cu Kα (λ = 1.5418 Å)
Structure: a structure optimized by DFT (GGA-PBE)
Kinematic intensities with the Lorentz-polarization factor, no thermal factor.

Most intense lines, 2θ = 5–70°, by intensity:
d (Å)  I_rel  (hkl)
2.423  1000  1 0 7
2.050  855  1 1 6
2.227  835  2 0 1
1.460  434  2 1 7
2.588  403  1 1 0
2.241  284  2 0 0
2.689  226  1 0 6
1.365  219  3 0 6
4.375  190  1 0 1
2.302  167  1 1 4
2.507  113  1 1 2
1.466  83  1 0 13

Cell and atoms:
abc: 5.176 5.176 20.165
angles: 90.00 90.00 120.00
Positions (direct):
Pr1 0.333 0.667 0.022
Pr2 0.333 0.667 0.175
Pr3 0.333 0.667 0.325
Pr4 0.333 0.667 0.478
Pr5 0.667 0.333 0.522
Pr6 0.667 0.333 0.675
Pr7 0.667 0.333 0.825
Pr8 0.667 0.333 0.978
Co1 0.000 0.000 0.000
Co2 0.000 0.000 0.500
Co3 0.161 0.321 0.608
Co4 0.161 0.321 0.892
Co5 0.161 0.839 0.608
Co6 0.161 0.839 0.892
Co7 0.168 0.336 0.750
Co8 0.168 0.832 0.750
Co9 0.321 0.161 0.108
Co10 0.321 0.161 0.392
Co11 0.336 0.168 0.250
Co12 0.664 0.832 0.750
Co13 0.679 0.839 0.608
Co14 0.679 0.839 0.892
Co15 0.832 0.168 0.250
Co16 0.832 0.664 0.250
Co17 0.839 0.161 0.108
Co18 0.839 0.161 0.392
Co19 0.839 0.679 0.108
Co20 0.839 0.679 0.392
B1 0.000 0.000 0.178
B2 0.000 0.000 0.322
B3 0.000 0.000 0.678
B4 0.000 0.000 0.822
B5 0.333 0.667 0.675
B6 0.333 0.667 0.825
B7 0.667 0.333 0.175
B8 0.667 0.333 0.325